Computed powder diffractogram of Li3PF6 for Cu Kα (λ = 1.5418 Å), from a cell relaxed with GGA-PBE.

Crystal structure
```
Li3PF6
1.0
4.857 0.000 0.000
0.182 5.736 0.000
1.594 2.778 4.905
Li P F
3 1 6
Cartesian
0.000 0.000 0.000
0.091 2.868 0.000
3.225 1.389 2.453
0.888 4.257 2.453
1.972 5.829 3.018
1.355 4.265 0.461
2.217 2.933 3.093
4.415 5.581 1.813
5.277 4.249 4.445
4.660 2.685 1.888
```

Peak list (12 most intense, 2θ = 10–80°, sorted by position)
2theta, I (rel.)
17.77, 35
18.08, 100
19.12, 89
23.93, 64
24.60, 66
30.14, 20
36.03, 32
38.30, 36
38.87, 25
46.69, 38
48.99, 30
50.44, 30


Computed powder diffractogram of Na5Hf2F13 for Cu Kα (λ = 1.5418 Å), from a cell relaxed with GGA-PBE.

Crystal structure
```
Na5Hf2F13
1.0
5.841 -2.778 0.000
5.841 2.778 0.000
-1.077 0.000 8.430
Na Hf F
5 2 13
Cartesian
0.000 0.000 0.000
1.438 0.000 3.618
2.335 0.000 7.123
8.270 0.000 1.306
9.167 0.000 4.812
4.712 0.000 2.163
5.893 0.000 6.267
3.350 1.308 2.998
4.209 1.240 0.600
4.325 1.312 6.322
6.279 1.312 2.108
6.396 1.240 7.830
7.255 1.308 5.432
5.302 0.000 4.215
3.350 -1.308 2.998
4.209 -1.240 0.600
4.325 -1.312 6.322
6.279 -1.312 2.108
6.396 -1.240 7.830
7.255 -1.308 5.432
```

Peak list (12 most intense, 2θ = 10–80°, sorted by position)
2theta, I (rel.)
15.29, 25
17.44, 35
17.71, 100
19.66, 34
20.12, 21
21.09, 49
26.89, 23
28.41, 60
29.03, 74
47.27, 28
47.53, 31
47.74, 22


Computed powder diffractogram of TePd3 for Cu Kα (λ = 1.5418 Å), from a cell relaxed with GGA-PBE.

Crystal structure
```
TePd3
1.0
4.597 0.000 0.000
0.000 4.597 0.000
0.000 0.000 6.535
Te Pd
2 6
Cartesian
0.000 0.000 0.000
2.299 2.299 3.268
0.000 0.000 3.268
0.000 2.299 1.634
0.000 2.299 4.902
2.299 0.000 1.634
2.299 0.000 4.902
2.299 2.299 0.000
```

Peak list (6 most intense, 2θ = 10–80°, sorted by position)
2theta, I (rel.)
39.09, 100
39.19, 50
56.31, 8
56.63, 17
70.74, 17
70.96, 33